Entry 1:
Calculated X-ray diffraction stick pattern of BaTm4Au5 for CuKα, from a crystal structure in Alexandria, relaxed with GGA-PBE.
No peak broadening, texture or thermal motion is included.

Crystal structure
```
data_BaTm4Au5
_chemical_formula_sum 'Ba1 Tm4 Au5'
_space_group_name_H-M_alt 'P 4/m m m'
_space_group_IT_number 123
_space_group_name_Hall '-P 4 2'
_cell_length_a 3.608
_cell_length_b 3.608
_cell_length_c 18.476
_cell_angle_alpha 90.00
_cell_angle_beta 90.00
_cell_angle_gamma 90.00
loop_
_atom_site_label
_atom_site_type_symbol
_atom_site_fract_x
_atom_site_fract_y
_atom_site_fract_z
Ba1 Ba 0.000 0.000 0.000
Tm1 Tm 0.000 0.000 0.213
Tm2 Tm 0.000 0.000 0.405
Au1 Au 0.500 0.500 0.131
Au2 Au 0.500 0.500 0.310
Au3 Au 0.500 0.500 0.500
```

Most intense lines, 2θ = 10–90°, in order of rising 2θ:
- (1 0 5), d = 2.581 Å, intensity 100
- (1 1 0), d = 2.551 Å, intensity 63
- (1 0 6), d = 2.342 Å, intensity 19
- (2 0 0), d = 1.804 Å, intensity 23
- (1 1 10), d = 1.496 Å, intensity 9
- (2 1 5), d = 1.479 Å, intensity 37
- (2 1 6), d = 1.429 Å, intensity 8
- (1 1 11), d = 1.403 Å, intensity 10
- (3 0 5), d = 1.144 Å, intensity 8
- (3 1 0), d = 1.141 Å, intensity 11

Entry 2:
Calculated X-ray diffraction stick pattern of Ac6Pr2Sm for CuKα, from a crystal structure in Alexandria, relaxed with GGA-PBE.
No peak broadening, texture or thermal motion is included.

Crystal structure
```
data_Ac6Pr2Sm
_chemical_formula_sum 'Ac12 Pr4 Sm2'
_space_group_name_H-M_alt 'P 42/m n m'
_space_group_IT_number 136
_space_group_name_Hall '-P 4n 2n'
_cell_length_a 11.626
_cell_length_b 11.626
_cell_length_c 5.555
_cell_angle_alpha 90.00
_cell_angle_beta 90.00
_cell_angle_gamma 90.00
loop_
_atom_site_label
_atom_site_type_symbol
_atom_site_fract_x
_atom_site_fract_y
_atom_site_fract_z
Ac1 Ac 0.002 0.328 0.000
Ac2 Ac 0.160 0.840 0.500
Pr1 Pr 0.168 0.168 0.500
Sm1 Sm 0.000 0.000 0.000
```

Most intense lines, 2θ = 10–90°, in order of rising 2θ:
- (3 0 1), d = 3.178 Å, intensity 100
- (0 0 2), d = 2.778 Å, intensity 18
- (3 3 0), d = 2.740 Å, intensity 34
- (3 3 2), d = 1.951 Å, intensity 26
- (6 0 0), d = 1.938 Å, intensity 12
- (3 0 3), d = 1.671 Å, intensity 16
- (6 3 1), d = 1.654 Å, intensity 30
- (6 0 2), d = 1.589 Å, intensity 13
- (6 3 3), d = 1.265 Å, intensity 13
- (9 3 2), d = 1.121 Å, intensity 9

Entry 3:
Calculated X-ray diffraction stick pattern of TbInSeO2 for CuKα, from a crystal structure in Alexandria, relaxed with GGA-PBE.
No peak broadening, texture or thermal motion is included.

Crystal structure
```
data_TbInSeO2
_chemical_formula_sum 'Tb2 In2 Se2 O4'
_space_group_name_H-M_alt 'P 1 21/m 1'
_space_group_IT_number 11
_space_group_name_Hall '-P 2yb'
_cell_length_a 6.803
_cell_length_b 4.126
_cell_length_c 7.548
_cell_angle_alpha 90.00
_cell_angle_beta 116.03
_cell_angle_gamma 90.00
loop_
_atom_site_label
_atom_site_type_symbol
_atom_site_fract_x
_atom_site_fract_y
_atom_site_fract_z
Tb1 Tb 0.176 0.250 0.441
In1 In 0.168 0.250 0.949
Se1 Se 0.480 0.750 0.727
O1 O 0.008 0.750 0.371
O2 O 0.041 0.750 0.892
```

Most intense lines, 2θ = 10–90°, in order of rising 2θ:
- (1 0 0), d = 6.112 Å, intensity 27
- (1 1 0), d = 3.420 Å, intensity 100
- (2 0 -2), d = 3.024 Å, intensity 85
- (1 1 -2), d = 2.772 Å, intensity 53
- (0 1 2), d = 2.621 Å, intensity 33
- (1 0 2), d = 2.531 Å, intensity 48
- (2 1 0), d = 2.456 Å, intensity 44
- (0 2 0), d = 2.064 Å, intensity 41
- (3 0 0), d = 2.037 Å, intensity 23
- (2 2 -2), d = 1.704 Å, intensity 37